# 1
La2Mg16Ru: theoretical powder X-ray diffraction pattern (Cu Kα, 1.54184 Å), based on a crystal structure in Alexandria, relaxed with GGA-PBE.

Atomic structure:
abc: 10.3330 10.3330 14.9083
angles: 90.00 90.00 120.00
Space group R3m (No. 160, hexagonal axes)
Inequivalent atoms, fractional coordinates:
La 0.0000 0.0000 0.0000 [3 per cell]
La 0.0000 0.0000 0.3666 [3 per cell]
Mg 0.0000 0.0000 0.7364 [3 per cell]
Mg 0.0006 0.2964 0.6660 [18 per cell]
Mg 0.0094 0.5047 0.1683 [9 per cell]
Mg 0.1689 0.3378 0.1553 [9 per cell]
Mg 0.1694 0.3389 0.8481 [9 per cell]
Ru 0.0000 0.0000 0.5414 [3 per cell]

The 10 most intense peaks (2θ from 10° to 90°), in order of falling intensity:
hkl, d/Å, I (rel.)
1 1 0, 5.166, 100
2 2 0, 2.583, 91
3 0 0, 2.983, 87
0 3 3, 2.558, 83
0 1 2, 5.727, 77
0 0 6, 2.483, 66
1 2 5, 2.238, 54
1 1 3, 3.582, 47
1 2 2, 3.080, 44
2 2 6, 1.791, 36

# 2
CaMnSi2Pt5: theoretical powder X-ray diffraction pattern (Cu Kα, 1.54184 Å), based on a crystal structure in Alexandria, relaxed with GGA-PBE.

Atomic structure:
abc: 4.0535 4.0535 10.5110
angles: 90.00 90.00 90.00
Space group P4/mmm (No. 123)
Inequivalent atoms, fractional coordinates:
Ca 0.0000 0.0000 0.0000 [1 per cell]
Mn 0.0000 0.0000 0.5000 [1 per cell]
Si 0.5000 0.5000 0.2226 [2 per cell]
Pt 0.0000 0.5000 0.3409 [4 per cell]
Pt 0.5000 0.5000 0.0000 [1 per cell]

The 10 most intense peaks (2θ from 10° to 90°), in order of falling intensity:
hkl, d/Å, I (rel.)
0 0 3, 3.504, 100
1 1 1, 2.765, 96
0 0 6, 1.754, 75
2 0 0, 2.027, 67
1 1 4, 1.937, 66
1 1 2, 2.516, 63
1 1 3, 2.218, 53
2 0 6, 1.326, 51
1 0 1, 3.782, 27
1 1 0, 2.866, 25

# 3
Sr2CuSe2Cl2O6: theoretical powder X-ray diffraction pattern (Cu Kα, 1.54184 Å), based on a crystal structure in Alexandria, relaxed with GGA-PBE.

Atomic structure:
abc: 5.2819 6.6637 13.6107
angles: 90.00 111.83 90.00
Space group P2_1/c (No. 14)
Inequivalent atoms, fractional coordinates:
Sr 0.2072 0.2316 0.2311 [4 per cell]
Cu 0.5000 0.0000 0.0000 [2 per cell]
Se 0.0778 0.7452 0.5713 [4 per cell]
Cl 0.4288 0.6377 0.8805 [4 per cell]
O 0.1160 0.0522 0.9002 [4 per cell]
O 0.1191 0.6033 0.1760 [4 per cell]
O 0.3879 0.6134 0.6141 [4 per cell]

The 10 most intense peaks (2θ from 10° to 90°), in order of falling intensity:
hkl, d/Å, I (rel.)
1 1 2, 2.972, 100
1 1 -4, 2.932, 95
2 0 -2, 2.641, 50
0 2 0, 3.329, 37
0 1 4, 2.854, 34
1 2 0, 2.756, 32
1 2 -2, 2.745, 28
0 1 1, 5.894, 24
2 2 -2, 2.069, 22
0 2 6, 1.780, 19

# 4
Cs4NpO6: theoretical powder X-ray diffraction pattern (Cu Kα, 1.54184 Å), based on a crystal structure in Alexandria, relaxed with GGA-PBE.

Atomic structure:
abc: 11.4561 11.4561 14.7466
angles: 90.00 90.00 120.00
Space group R-3c (No. 167, hexagonal axes)
Inequivalent atoms, fractional coordinates:
Cs 0.0000 0.0000 0.2500 [6 per cell]
Cs 0.0000 0.3598 0.2500 [18 per cell]
Np 0.0000 0.0000 0.0000 [6 per cell]
O 0.0125 0.1478 0.4199 [36 per cell]

The 10 most intense peaks (2θ from 10° to 90°), in order of falling intensity:
hkl, d/Å, I (rel.)
3 0 0, 3.307, 100
1 1 3, 3.730, 54
1 1 0, 5.728, 33
2 1 4, 2.629, 33
0 2 4, 2.959, 28
2 2 3, 2.475, 27
0 1 2, 5.918, 26
3 2 4, 1.937, 24
6 0 0, 1.654, 22
1 0 4, 3.456, 20

# 5
CsTlHgPPbO: theoretical powder X-ray diffraction pattern (Cu Kα, 1.54184 Å), based on a crystal structure in Alexandria, relaxed with GGA-PBE.

Atomic structure:
abc: 4.3392 4.3392 36.0460
angles: 90.00 90.00 120.00
Space group R3m (No. 160, hexagonal axes)
Inequivalent atoms, fractional coordinates:
Cs 0.0000 0.0000 0.0000 [3 per cell]
Tl 0.0000 0.0000 0.1446 [3 per cell]
Hg 0.0000 0.0000 0.7541 [3 per cell]
P 0.0000 0.0000 0.2498 [3 per cell]
Pb 0.0000 0.0000 0.5467 [3 per cell]
O 0.0000 0.0000 0.2939 [3 per cell]

The 10 most intense peaks (2θ from 10° to 90°), in order of falling intensity:
hkl, d/Å, I (rel.)
0 1 5, 3.332, 100
1 1 0, 2.170, 59
0 1 8, 2.886, 50
1 0 7, 3.036, 40
1 0 10, 2.601, 36
0 1 2, 3.679, 32
1 0 4, 3.468, 31
1 0 13, 2.231, 30
1 1 15, 1.610, 25
0 1 20, 1.625, 19

# 6
CaBr2N: theoretical powder X-ray diffraction pattern (Cu Kα, 1.54184 Å), based on a crystal structure in Alexandria, relaxed with GGA-PBE.

Atomic structure:
abc: 7.4507 4.3046 9.0375
angles: 90.00 107.41 90.00
Space group P2_1/m (No. 11)
Inequivalent atoms, fractional coordinates:
Ca 0.2502 0.2500 0.0003 [2 per cell]
Br 0.0182 0.7500 0.8200 [2 per cell]
Br 0.4824 0.7500 0.1803 [2 per cell]
N 0.2480 0.7500 0.4994 [2 per cell]

The 10 most intense peaks (2θ from 10° to 90°), in order of falling intensity:
hkl, d/Å, I (rel.)
0 0 1, 8.624, 100
1 1 1, 3.211, 78
2 0 -2, 3.264, 37
1 1 2, 2.608, 31
3 1 -1, 2.151, 31
1 1 -1, 3.593, 26
1 1 -4, 2.001, 19
2 0 -3, 2.657, 18
0 2 0, 2.152, 16
2 0 0, 3.555, 14

# 7
Pm6Sm3Mg: theoretical powder X-ray diffraction pattern (Cu Kα, 1.54184 Å), based on a crystal structure in Alexandria, relaxed with GGA-PBE.

Atomic structure:
abc: 3.5562 6.4800 29.1631
angles: 90.52 93.14 90.59
Space group P-1 (No. 2)
Inequivalent atoms, fractional coordinates:
Pm 0.0307 0.2648 0.1032 [2 per cell]
Pm 0.0720 0.5905 0.1992 [2 per cell]
Pm 0.1143 0.2534 0.4050 [2 per cell]
Pm 0.1280 0.9157 0.3020 [2 per cell]
Pm 0.2762 0.2527 0.5973 [2 per cell]
Pm 0.4664 0.2332 0.9064 [2 per cell]
Sm 0.0000 0.5000 0.0000 [1 per cell]
Sm 0.4002 0.5776 0.6978 [2 per cell]
Sm 0.4216 0.9093 0.7989 [2 per cell]
Sm 0.5000 0.0000 0.5000 [1 per cell]
Mg 0.0000 0.0000 0.0000 [1 per cell]
Mg 0.5000 0.5000 0.5000 [1 per cell]

The 10 most intense peaks (2θ from 10° to 90°), in order of falling intensity:
hkl, d/Å, I (rel.)
0 2 4, 2.946, 100
0 0 10, 2.912, 73
0 2 -6, 2.707, 55
-1 1 7, 2.554, 39
1 1 -3, 2.999, 34
1 1 5, 2.681, 24
0 2 -16, 1.594, 18
1 1 7, 2.425, 15
-1 3 1, 1.853, 14
2 0 -1, 1.777, 13

# 8
Tm2In3Hg3: theoretical powder X-ray diffraction pattern (Cu Kα, 1.54184 Å), based on a crystal structure in Alexandria, relaxed with GGA-PBE.

Atomic structure:
abc: 4.5614 4.5859 9.1430
angles: 90.00 90.00 90.00
Space group Pmmm (No. 47)
Inequivalent atoms, fractional coordinates:
Tm 0.0000 0.0000 0.2478 [2 per cell]
In 0.0000 0.5000 0.5000 [1 per cell]
In 0.5000 0.0000 0.0000 [1 per cell]
In 0.5000 0.0000 0.5000 [1 per cell]
Hg 0.0000 0.5000 0.0000 [1 per cell]
Hg 0.5000 0.5000 0.2535 [2 per cell]

The 10 most intense peaks (2θ from 10° to 90°), in order of falling intensity:
hkl, d/Å, I (rel.)
1 1 2, 2.640, 100
2 0 0, 2.283, 33
2 2 0, 1.618, 23
0 2 0, 2.293, 17
1 3 2, 1.382, 13
3 1 2, 1.376, 13
1 1 6, 1.378, 13
2 2 4, 1.320, 12
2 0 4, 1.614, 11
0 0 2, 4.577, 3

# 9
Pr2Co2SiC: theoretical powder X-ray diffraction pattern (Cu Kα, 1.54184 Å), based on a crystal structure in Alexandria, relaxed with GGA-PBE.

Atomic structure:
abc: 3.9554 6.0526 9.0815
angles: 90.00 90.00 90.00
Space group Immm (No. 71)
Inequivalent atoms, fractional coordinates:
Pr 0.0000 0.0000 0.1913 [4 per cell]
Co 0.0000 0.2063 0.5000 [4 per cell]
Si 0.0000 0.5000 0.0000 [2 per cell]
C 0.0000 0.5000 0.5000 [2 per cell]

The 10 most intense peaks (2θ from 10° to 90°), in order of falling intensity:
hkl, d/Å, I (rel.)
1 1 0, 3.311, 100
0 1 3, 2.707, 71
1 0 3, 2.404, 71
1 1 2, 2.675, 69
1 2 1, 2.323, 51
0 2 2, 2.518, 48
1 3 2, 1.671, 40
1 2 5, 1.449, 35
2 0 0, 1.978, 30
2 1 3, 1.597, 29

# 10
Li2Zn2AgPd2: theoretical powder X-ray diffraction pattern (Cu Kα, 1.54184 Å), based on a crystal structure in Alexandria, relaxed with GGA-PBE.

Atomic structure:
abc: 7.5569 4.3537 7.0192
angles: 90.00 111.16 90.00
Space group C2/m (No. 12)
Inequivalent atoms, fractional coordinates:
Li 0.0935 0.0000 0.2821 [4 per cell]
Zn 0.1350 0.5000 0.9019 [4 per cell]
Ag 0.0000 0.5000 0.5000 [2 per cell]
Pd 0.2374 0.0000 0.7122 [4 per cell]

The 10 most intense peaks (2θ from 10° to 90°), in order of falling intensity:
hkl, d/Å, I (rel.)
3 1 -1, 2.180, 100
1 1 2, 2.252, 94
1 1 -3, 2.058, 93
2 0 -1, 3.707, 92
0 2 0, 2.177, 50
1 1 1, 2.992, 47
2 0 0, 3.523, 32
4 0 1, 1.566, 29
1 3 -3, 1.233, 22
2 2 2, 1.495, 21

# 11
Rb2InAgH6: theoretical powder X-ray diffraction pattern (Cu Kα, 1.54184 Å), based on a crystal structure in Alexandria, relaxed with GGA-PBE.

Atomic structure:
abc: 7.9869 8.5100 8.7170
angles: 90.00 90.00 90.00
Space group Fmmm (No. 69)
Inequivalent atoms, fractional coordinates:
Rb 0.2500 0.2500 0.2500 [8 per cell]
In 0.0000 0.0000 0.0000 [4 per cell]
Ag 0.0000 0.0000 0.5000 [4 per cell]
H 0.0000 0.0000 0.2243 [8 per cell]
H 0.0000 0.2312 0.0000 [8 per cell]
H 0.2301 0.0000 0.5000 [8 per cell]

The 10 most intense peaks (2θ from 10° to 90°), in order of falling intensity:
hkl, d/Å, I (rel.)
0 2 2, 3.045, 100
2 0 2, 2.944, 91
2 2 0, 2.912, 89
2 2 4, 1.745, 38
2 4 2, 1.724, 36
4 2 2, 1.670, 33
0 0 4, 2.179, 20
0 4 0, 2.128, 19
4 0 0, 1.997, 15
0 4 4, 1.522, 12

# 12
Cs2Hg2Pb: theoretical powder X-ray diffraction pattern (Cu Kα, 1.54184 Å), based on a crystal structure in Alexandria, relaxed with GGA-PBE.

Atomic structure:
abc: 13.1526 6.8787 5.2931
angles: 90.00 113.68 90.00
Space group C2/m (No. 12)
Inequivalent atoms, fractional coordinates:
Cs 0.1937 0.0000 0.1934 [4 per cell]
Hg 0.0000 0.2512 0.5000 [4 per cell]
Pb 0.0000 0.5000 0.0000 [2 per cell]

The 10 most intense peaks (2θ from 10° to 90°), in order of falling intensity:
hkl, d/Å, I (rel.)
0 2 1, 2.805, 100
3 1 -1, 3.442, 57
2 0 0, 6.023, 51
4 2 1, 1.849, 46
3 1 0, 3.468, 34
2 0 -2, 2.647, 33
2 0 1, 3.199, 26
4 0 0, 3.011, 26
6 0 -2, 1.989, 23
2 2 0, 2.987, 19

# 13
BRu: theoretical powder X-ray diffraction pattern (Cu Kα, 1.54184 Å), based on a crystal structure in Alexandria, relaxed with GGA-PBE.

Atomic structure:
abc: 2.8526 2.8526 10.1409
angles: 90.00 90.00 90.00
Space group I4_1md (No. 109)
Inequivalent atoms, fractional coordinates:
B 0.0000 0.0000 0.0000 [4 per cell]
Ru 0.0000 0.0000 0.5825 [4 per cell]

The 10 most intense peaks (2θ from 10° to 90°), in order of falling intensity:
hkl, d/Å, I (rel.)
1 0 1, 2.746, 100
1 1 2, 1.874, 79
1 0 3, 2.180, 59
0 0 4, 2.535, 43
1 0 5, 1.653, 27
1 1 6, 1.295, 19
2 1 1, 1.266, 18
2 0 4, 1.243, 17
2 0 0, 1.426, 17
2 1 3, 1.194, 16